1.
For CeSbAu, a cell relaxed with GGA-PBE gives the computed powder diffraction line list in this record (Cu Kα).
Lines closer than 0.1° are merged.

Largest 10 diffraction maxima, low angle first, 2θ from 5° to 70°:
2theta	I_rel
22.6	19
30.9	100
35.0	18
38.5	88
44.3	29
50.1	26
60.1	11
64.9	24
66.2	13
69.6	16

Structural model:
```
data_CeSbAu
_chemical_formula_sum 'Ce4 Sb4 Au4'
_cell_length_a 4.6796
_cell_length_b 4.6796
_cell_length_c 16.5753
_cell_angle_alpha 90.00
_cell_angle_beta 90.00
_cell_angle_gamma 120.00
_symmetry_space_group_name_H-M 'P 1'
_symmetry_Int_Tables_number 1
loop_
_symmetry_equiv_pos_as_xyz
'x,y,z'
loop_
_atom_site_label
_atom_site_fract_x
_atom_site_fract_y
_atom_site_fract_z
Ce1 0.0000 0.0000 0.0000
Ce2 0.0000 0.0000 0.2500
Ce3 0.0000 0.0000 0.5000
Ce4 0.0000 0.0000 0.7500
Sb1 0.3333 0.6667 0.1104
Sb2 0.3333 0.6667 0.3896
Sb3 0.6667 0.3333 0.6104
Sb4 0.6667 0.3333 0.8896
Au1 0.3333 0.6667 0.6608
Au2 0.3333 0.6667 0.8392
Au3 0.6667 0.3333 0.1608
Au4 0.6667 0.3333 0.3392
```

---

2.
For Pm2SnCl8, a cell relaxed with GGA-PBE gives the computed powder diffraction line list in this record (Cu Kα).
Lines closer than 0.1° are merged.

Largest 10 diffraction maxima, low angle first, 2θ from 5° to 70°:
2theta	I_rel
10.1	16
14.6	100
16.1	71
25.3	37
25.8	23
26.4	19
28.0	17
34.0	34
36.9	21
38.9	23

Structural model:
```
data_Pm2SnCl8
_chemical_formula_sum 'Pm2 Sn1 Cl8'
_cell_length_a 7.7013
_cell_length_b 7.7013
_cell_length_c 8.7233
_cell_angle_alpha 91.55
_cell_angle_beta 91.55
_cell_angle_gamma 51.96
_symmetry_space_group_name_H-M 'P 1'
_symmetry_Int_Tables_number 1
loop_
_symmetry_equiv_pos_as_xyz
'x,y,z'
loop_
_atom_site_label
_atom_site_fract_x
_atom_site_fract_y
_atom_site_fract_z
Pm1 0.1436 0.1436 0.3846
Pm2 0.8564 0.8564 0.6154
Sn1 0.0000 0.0000 0.0000
Cl1 0.0643 0.0643 0.6730
Cl2 0.1239 0.6140 0.8441
Cl3 0.3260 0.3260 0.4762
Cl4 0.3860 0.8761 0.1559
Cl5 0.6140 0.1239 0.8441
Cl6 0.6740 0.6740 0.5238
Cl7 0.8761 0.3860 0.1559
Cl8 0.9357 0.9357 0.3270
```